Record 1
Simulated powder X-ray diffraction pattern
Compound: Tb8YTm3
Radiation: Cu Kα (weighted mean of Kα1 and Kα2)
Structure: a DFT-relaxed cell (GGA-PBE, Alexandria)

Structural model:
Cell lengths 7.6643, 7.6643, 15.3363 Å; angles 90.00, 90.00, 90.00 degrees
Space group I4/mmm (No. 139)
Unique sites:
Tb1 0.2484 0.2484 0.1258 x16
Y1 0.0000 0.0000 0.5000 x2
Tm1 0.0000 0.0000 0.0000 x2
Tm2 0.0000 0.5000 0.2500 x4

Main lines, low angle first (15° ≤ 2θ ≤ 90°):
20.06 deg, rel. 24, (1 1 2); 23.21 deg, rel. 16, (2 0 0); 33.05 deg, rel. 100, (2 2 0); 47.44 deg, rel. 18, (4 0 0); 59.03 deg, rel. 38, (4 2 4); 79.00 deg, rel. 16, (6 2 0)


Record 2
Simulated powder X-ray diffraction pattern
Compound: Sm3Si4Au
Radiation: Cu Kα (weighted mean of Kα1 and Kα2)
Structure: a DFT-relaxed cell (GGA-PBE, Alexandria)

Structural model:
Cell lengths 4.3692, 5.7669, 14.9203 Å; angles 90.00, 90.00, 90.00 degrees
Space group Immm (No. 71)
Unique sites:
Sm1 0.0000 0.0000 0.0000 x2
Sm2 0.0000 0.5000 0.1914 x4
Si1 0.0000 0.2964 0.3780 x8
Au1 0.0000 0.0000 0.5000 x2

Main lines, low angle first (15° ≤ 2θ ≤ 90°):
28.28 deg, rel. 100, (1 1 2); 31.01 deg, rel. 18, (0 2 0); 35.26 deg, rel. 22, (1 1 4); 41.33 deg, rel. 16, (2 0 0); 53.51 deg, rel. 17, (1 3 2); 55.93 deg, rel. 17, (1 1 8)